Structure and computed X-ray diffraction stick pattern of Ho4MgW6O24 (a DFT-relaxed cell (GGA+U, the Materials Project); λ = 1.5418 Å (Cu Kα)).
No peak broadening, texture or thermal motion is included.

Crystal structure
Unit cell a=6.797 b=6.797 c=11.156 alpha=100.67 beta=100.67 gamma=110.52
Sites, in units of the cell vectors:
Ho: 0.159 0.159 0.349
Ho: 0.577 0.058 0.170
Ho: 0.841 0.841 0.651
Ho: 0.942 0.423 0.830
Mg: 0.288 0.712 0.500
W: 0.058 0.600 0.189
W: 0.377 0.323 0.676
W: 0.400 0.942 0.811
W: 0.677 0.623 0.324
W: 0.722 0.278 0.500
W: 0.998 0.002 0.000
O: 0.073 0.441 0.042
O: 0.111 0.759 0.797
O: 0.192 0.514 0.313
O: 0.199 0.022 0.669
O: 0.241 0.889 0.203
O: 0.245 0.401 0.536
O: 0.278 0.451 0.794
O: 0.292 0.108 0.027
O: 0.421 0.102 0.504
O: 0.486 0.808 0.687
O: 0.510 0.322 0.330
O: 0.549 0.722 0.206
O: 0.559 0.927 0.958
O: 0.567 0.240 0.820
O: 0.599 0.755 0.464
O: 0.678 0.490 0.670
O: 0.760 0.433 0.180
O: 0.813 0.146 0.365
O: 0.854 0.187 0.635
O: 0.892 0.708 0.973
O: 0.898 0.579 0.496
O: 0.907 0.067 0.851
O: 0.933 0.093 0.149
O: 0.978 0.801 0.331

Main lines, sorted by position (2θ from 10° to 90°):
two_theta, Rel. int.
18.62, 18.3
28.04, 100.0
30.03, 80.8
32.05, 22.9
34.02, 24.6
34.86, 17.0
46.92, 15.0
47.44, 25.3
48.08, 21.1
56.16, 17.8

Structure and computed X-ray diffraction stick pattern of LiV4O8 (a DFT-relaxed cell (GGA+U, the Materials Project); λ = 1.5418 Å (Cu Kα)).
No peak broadening, texture or thermal motion is included.

Crystal structure
Unit cell a=5.156 b=6.334 c=5.160 alpha=90.00 beta=112.72 gamma=90.00
Sites, in units of the cell vectors:
Li: 0.000 0.000 0.000
V: 0.023 0.500 0.968
V: 0.316 0.000 0.676
V: 0.670 0.257 0.321
V: 0.670 0.743 0.321
O: 0.410 0.500 0.112
O: 0.434 0.213 0.556
O: 0.434 0.787 0.556
O: 0.436 0.000 0.057
O: 0.878 0.500 0.581
O: 0.896 0.275 0.095
O: 0.896 0.725 0.095
O: 0.935 0.000 0.554

Main lines, sorted by position (2θ from 10° to 90°):
two_theta, Rel. int.
18.65, 21.2
23.39, 77.5
25.05, 47.8
31.31, 48.1
34.01, 100.0
35.06, 51.7
47.83, 22.4
51.42, 17.0
57.47, 21.9
61.45, 43.7

Structure and computed X-ray diffraction stick pattern of MgMn6O7F5 (a DFT-relaxed cell (GGA+U, the Materials Project); λ = 1.5418 Å (Cu Kα)).
No peak broadening, texture or thermal motion is included.

Crystal structure
Unit cell a=5.761 b=6.018 c=7.732 alpha=109.04 beta=95.08 gamma=112.35
Sites, in units of the cell vectors:
Mg: 0.000 0.000 0.000
Mn: 0.021 0.466 0.978
Mn: 0.307 0.527 0.348
Mn: 0.395 0.023 0.808
Mn: 0.618 0.515 0.666
Mn: 0.622 0.007 0.172
Mn: 0.975 0.021 0.517
O: 0.120 0.157 0.802
O: 0.263 0.326 0.509
O: 0.348 0.690 0.163
O: 0.603 0.861 0.893
O: 0.667 0.711 0.502
O: 0.671 0.331 0.827
O: 0.953 0.305 0.168
F: 0.063 0.710 0.832
F: 0.210 0.816 0.524
F: 0.376 0.175 0.121
F: 0.721 0.179 0.450
F: 0.910 0.853 0.201

Main lines, sorted by position (2θ from 10° to 90°):
two_theta, Rel. int.
23.68, 100.0
27.26, 74.8
33.96, 31.4
34.05, 25.6
34.40, 19.5
35.04, 38.6
48.30, 17.9
48.46, 16.8
50.19, 15.8
60.21, 17.9

Structure and computed X-ray diffraction stick pattern of MgFe8O8F8 (a DFT-relaxed cell (GGA+U, the Materials Project); λ = 1.5418 Å (Cu Kα)).
No peak broadening, texture or thermal motion is included.

Crystal structure
Unit cell a=5.318 b=5.375 c=11.582 alpha=92.38 beta=90.98 gamma=93.10
Sites, in units of the cell vectors:
Mg: 0.000 0.000 0.000
Fe: 0.347 0.132 0.719
Fe: 0.499 0.920 0.222
Fe: 0.502 0.907 0.953
Fe: 0.504 0.940 0.479
Fe: 0.826 0.451 0.353
Fe: 0.854 0.454 0.839
Fe: 0.978 0.564 0.112
Fe: 0.997 0.606 0.599
O: 0.111 0.388 0.723
O: 0.255 0.871 0.601
O: 0.263 0.853 0.093
O: 0.607 0.185 0.841
O: 0.613 0.150 0.351
O: 0.715 0.652 0.228
O: 0.748 0.690 0.481
O: 0.787 0.687 0.963
F: 0.086 0.365 0.477
F: 0.087 0.346 0.244
F: 0.102 0.338 0.968
F: 0.178 0.919 0.845
F: 0.275 0.798 0.351
F: 0.604 0.212 0.598
F: 0.717 0.115 0.097
F: 0.740 0.680 0.720

Main lines, sorted by position (2θ from 10° to 90°):
two_theta, Rel. int.
18.53, 21.5
22.92, 94.7
24.07, 20.0
24.23, 100.0
34.61, 22.0
35.63, 16.6
38.49, 19.6
39.15, 20.4
48.92, 22.9
60.87, 18.9

Structure and computed X-ray diffraction stick pattern of NdCuW2O8 (a DFT-relaxed cell (GGA+U, the Materials Project); λ = 1.5418 Å (Cu Kα)).
No peak broadening, texture or thermal motion is included.

Crystal structure
Unit cell a=5.141 b=6.103 c=6.329 alpha=108.34 beta=92.28 gamma=112.29
Sites, in units of the cell vectors:
Nd: 0.000 0.000 0.000
Cu: 0.500 0.000 0.500
W: 0.250 0.486 0.661
W: 0.750 0.514 0.339
O: 0.022 0.687 0.663
O: 0.025 0.257 0.775
O: 0.470 0.300 0.526
O: 0.499 0.269 0.087
O: 0.501 0.731 0.913
O: 0.530 0.700 0.474
O: 0.975 0.743 0.225
O: 0.978 0.313 0.337

Main lines, sorted by position (2θ from 10° to 90°):
two_theta, Rel. int.
16.81, 24.6
18.11, 45.6
26.22, 76.1
26.36, 100.0
28.90, 34.3
29.32, 57.2
30.77, 52.8
33.96, 45.1
34.95, 38.2
50.06, 21.7

Structure and computed X-ray diffraction stick pattern of Li6Fe3CoP6O24 (a DFT-relaxed cell (GGA+U, the Materials Project); λ = 1.5418 Å (Cu Kα)).
No peak broadening, texture or thermal motion is included.

Crystal structure
Unit cell a=8.515 b=8.563 c=8.567 alpha=61.35 beta=61.45 gamma=61.49
Sites, in units of the cell vectors:
Li: 0.000 0.000 0.000
Li: 0.092 0.929 0.500
Li: 0.187 0.433 0.378
Li: 0.367 0.779 0.145
Li: 0.567 0.623 0.808
Li: 0.816 0.278 0.645
Fe: 0.487 0.918 0.288
Fe: 0.693 0.138 0.507
Fe: 0.987 0.420 0.800
Co: 0.198 0.630 0.008
P: 0.089 0.236 0.198
P: 0.295 0.018 0.694
P: 0.388 0.523 0.612
P: 0.586 0.320 0.109
P: 0.800 0.821 0.899
P: 0.889 0.735 0.398
O: 0.025 0.270 0.042
O: 0.076 0.721 0.224
O: 0.101 0.174 0.737
O: 0.143 0.398 0.171
O: 0.231 0.455 0.651
O: 0.248 0.041 0.217
O: 0.290 0.847 0.884
O: 0.308 0.976 0.533
O: 0.363 0.573 0.776
O: 0.381 0.696 0.429
O: 0.415 0.511 0.099
O: 0.466 0.065 0.650
O: 0.537 0.155 0.141
O: 0.582 0.369 0.584
O: 0.609 0.837 0.060
O: 0.640 0.287 0.270
O: 0.713 0.777 0.360
O: 0.739 0.355 0.911
O: 0.796 0.007 0.730
O: 0.835 0.661 0.839
O: 0.874 0.893 0.448
O: 0.922 0.537 0.551
O: 0.934 0.208 0.394
O: 0.965 0.792 0.954

Main lines, sorted by position (2θ from 10° to 90°):
two_theta, Rel. int.
14.49, 31.3
20.34, 49.7
20.75, 62.7
20.87, 28.9
24.08, 100.0
24.20, 49.2
29.29, 33.5
31.60, 29.7
33.00, 30.2
35.61, 38.6

Structure and computed X-ray diffraction stick pattern of Li10CrSi2O10 (a DFT-relaxed cell (GGA+U, the Materials Project); λ = 1.5418 Å (Cu Kα)).
No peak broadening, texture or thermal motion is included.

Crystal structure
Unit cell a=5.153 b=6.087 c=15.301 alpha=78.60 beta=80.60 gamma=89.85
Sites, in units of the cell vectors:
Li: 0.000 0.000 0.000
Li: 0.001 0.515 0.999
Li: 0.202 0.390 0.221
Li: 0.204 0.906 0.221
Li: 0.277 0.222 0.070
Li: 0.342 0.442 0.627
Li: 0.363 0.038 0.874
Li: 0.365 0.608 0.873
Li: 0.385 0.088 0.348
Li: 0.503 0.310 0.478
Li: 0.503 0.731 0.481
Li: 0.533 0.623 0.259
Li: 0.671 0.278 0.962
Li: 0.704 0.174 0.745
Li: 0.705 0.595 0.744
Li: 0.820 0.824 0.874
Li: 0.837 0.871 0.347
Li: 0.841 0.304 0.348
Li: 0.860 0.459 0.593
Li: 0.927 0.684 0.150
Cr: 0.412 0.912 0.680
Cr: 0.822 0.993 0.533
Si: 0.095 0.353 0.810
Si: 0.111 0.557 0.410
Si: 0.472 0.734 0.049
Si: 0.731 0.172 0.172
O: 0.001 0.400 0.710
O: 0.204 0.505 0.510
O: 0.221 0.807 0.354
O: 0.228 0.369 0.351
O: 0.321 0.680 0.155
O: 0.384 0.532 0.998
O: 0.384 0.985 0.998
O: 0.409 0.168 0.182
O: 0.421 0.358 0.801
O: 0.550 0.864 0.796
O: 0.599 0.700 0.609
O: 0.604 0.189 0.607
O: 0.654 0.051 0.427
O: 0.785 0.551 0.419
O: 0.794 0.738 0.038
O: 0.818 0.372 0.224
O: 0.820 0.921 0.223
O: 0.883 0.226 0.066
O: 0.980 0.107 0.869
O: 0.981 0.545 0.867

Main lines, sorted by position (2θ from 10° to 90°):
two_theta, Rel. int.
19.48, 51.6
20.94, 66.8
22.61, 100.0
22.95, 30.2
28.98, 29.7
29.35, 27.8
33.18, 38.1
33.33, 33.4
34.64, 33.8
34.82, 24.4

Structure and computed X-ray diffraction stick pattern of MgAl2Co2O6 (a DFT-relaxed cell (GGA+U, the Materials Project); λ = 1.5418 Å (Cu Kα)).
No peak broadening, texture or thermal motion is included.

Crystal structure
Unit cell a=5.095 b=5.101 c=5.610 alpha=90.14 beta=116.93 gamma=119.90
Sites, in units of the cell vectors:
Mg: 0.000 0.000 0.000
Al: 0.259 0.629 0.886
Al: 0.615 0.807 0.424
Co: 0.535 0.268 0.802
Co: 0.903 0.447 0.355
O: 0.061 0.214 0.661
O: 0.134 0.435 0.146
O: 0.444 0.010 0.145
O: 0.447 0.847 0.661
O: 0.711 0.701 0.145
O: 0.814 0.600 0.659

Main lines, sorted by position (2θ from 10° to 90°):
two_theta, Rel. int.
21.05, 49.0
23.66, 20.6
32.16, 31.9
35.19, 100.0
37.40, 62.1
40.07, 29.4
52.29, 35.1
52.47, 69.1
63.12, 31.4
64.56, 18.2

Structure and computed X-ray diffraction stick pattern of Sr3Nb2CoO9 (a DFT-relaxed cell (GGA+U, the Materials Project); λ = 1.5418 Å (Cu Kα)).
No peak broadening, texture or thermal motion is included.

Crystal structure
Unit cell a=13.449 b=5.677 c=16.430 alpha=90.00 beta=116.38 gamma=90.00
Sites, in units of the cell vectors:
Sr: 0.165 0.020 0.062
Sr: 0.165 0.480 0.562
Sr: 0.166 0.003 0.405
Sr: 0.166 0.497 0.905
Sr: 0.169 0.018 0.731
Sr: 0.169 0.482 0.231
Sr: 0.831 0.518 0.769
Sr: 0.831 0.982 0.269
Sr: 0.834 0.503 0.095
Sr: 0.834 0.997 0.595
Sr: 0.835 0.520 0.438
Sr: 0.835 0.980 0.938
Nb: 0.001 0.508 0.665
Nb: 0.001 0.992 0.165
Nb: 0.494 0.027 0.170
Nb: 0.494 0.473 0.670
Nb: 0.506 0.527 0.330
Nb: 0.506 0.973 0.830
Nb: 0.999 0.008 0.835
Nb: 0.999 0.492 0.335
Co: 0.000 0.000 0.500
Co: 0.000 0.500 0.000
Co: 0.500 0.000 0.000
Co: 0.500 0.500 0.500
O: 0.010 0.697 0.107
O: 0.010 0.803 0.607
O: 0.013 0.691 0.438
O: 0.013 0.809 0.938
O: 0.015 0.694 0.776
O: 0.015 0.806 0.276
O: 0.162 0.030 0.559
O: 0.162 0.051 0.885
O: 0.162 0.449 0.385
O: 0.162 0.470 0.059
O: 0.169 0.030 0.226
O: 0.169 0.470 0.726
O: 0.363 0.514 0.570
O: 0.363 0.986 0.070
O: 0.397 0.548 0.370
O: 0.397 0.952 0.870
O: 0.480 0.219 0.742
O: 0.480 0.281 0.242
O: 0.520 0.719 0.758
O: 0.520 0.781 0.258
O: 0.603 0.048 0.130
O: 0.603 0.452 0.630
O: 0.637 0.014 0.930
O: 0.637 0.486 0.430
O: 0.831 0.530 0.274
O: 0.831 0.970 0.774
O: 0.838 0.530 0.941
O: 0.838 0.551 0.615
O: 0.838 0.949 0.115
O: 0.838 0.970 0.441
O: 0.985 0.194 0.724
O: 0.985 0.306 0.224
O: 0.987 0.191 0.062
O: 0.987 0.309 0.562
O: 0.990 0.197 0.393
O: 0.990 0.303 0.893

Main lines, sorted by position (2θ from 10° to 90°):
two_theta, Rel. int.
14.71, 64.4
16.74, 46.9
22.13, 55.2
22.57, 40.3
31.33, 96.2
31.51, 100.0
32.30, 94.2
32.73, 70.2
45.15, 44.7
46.07, 71.2